# 1
This entry pairs a crystal structure of La6CoTc with its calculated powder diffraction line list. Radiation: Cu Kα. Structure: a crystal structure in Alexandria, relaxed with PBE.
Intensities are scaled so that the largest is 100.

Principal peaks in the range 15 to 90 degrees two-theta, most intense first:
29.64 deg, d = 3.014 Å, intensity 100
39.01 deg, d = 2.309 Å, intensity 31
45.59 deg, d = 1.990 Å, intensity 29
51.44 deg, d = 1.776 Å, intensity 21
55.32 deg, d = 1.661 Å, intensity 17
28.71 deg, d = 3.109 Å, intensity 15
54.77 deg, d = 1.676 Å, intensity 15
74.41 deg, d = 1.275 Å, intensity 14
77.99 deg, d = 1.225 Å, intensity 12
88.69 deg, d = 1.103 Å, intensity 9
25.85 deg, d = 3.446 Å, intensity 8
71.15 deg, d = 1.325 Å, intensity 8

Structural model:
```
data_La6CoTc
_chemical_formula_sum 'La6 Co1 Tc1'
_symmetry_space_group_name_H-M 'P -3 1 m'
_symmetry_Int_Tables_number 162
_symmetry_space_group_name_Hall '-P 3 2'
_cell_length_a 6.8924
_cell_length_b 6.8924
_cell_length_c 6.2190
_cell_angle_alpha 90.00
_cell_angle_beta 90.00
_cell_angle_gamma 120.00
loop_
_atom_site_label
_atom_site_type_symbol
_atom_site_fract_x
_atom_site_fract_y
_atom_site_fract_z
_atom_site_occupancy
La1 La 0.0000 0.3421 0.2522 1
Co1 Co 0.0000 0.0000 0.5000 1
Tc1 Tc 0.0000 0.0000 0.0000 1
```

# 2
This entry pairs a crystal structure of Er3Mg5Cd2 with its calculated powder diffraction line list. Radiation: Cu Kα. Structure: a crystal structure in Alexandria, relaxed with PBE.
Intensities are scaled so that the largest is 100.

Principal peaks in the range 15 to 90 degrees two-theta, most intense first:
31.80 deg, d = 2.814 Å, intensity 100
28.36 deg, d = 3.147 Å, intensity 99
31.93 deg, d = 2.803 Å, intensity 97
38.93 deg, d = 2.314 Å, intensity 90
41.44 deg, d = 2.179 Å, intensity 78
29.33 deg, d = 3.046 Å, intensity 37
35.89 deg, d = 2.502 Å, intensity 29
58.08 deg, d = 1.588 Å, intensity 27
58.24 deg, d = 1.584 Å, intensity 24
26.11 deg, d = 3.413 Å, intensity 21
37.04 deg, d = 2.427 Å, intensity 21
69.50 deg, d = 1.353 Å, intensity 21

Structural model:
```
data_Er3Mg5Cd2
_chemical_formula_sum 'Er12 Mg20 Cd8'
_symmetry_space_group_name_H-M 'I b a m'
_symmetry_Int_Tables_number 72
_symmetry_space_group_name_Hall '-I 2 2c'
_cell_length_a 12.297
_cell_length_b 13.650
_cell_length_c 6.177
_cell_angle_alpha 90.00
_cell_angle_beta 90.00
_cell_angle_gamma 90.00
loop_
_atom_site_label
_atom_site_type_symbol
_atom_site_fract_x
_atom_site_fract_y
_atom_site_fract_z
_atom_site_occupancy
Er1 Er 0.000 0.000 0.250 1
Er2 Er 0.125 0.238 0.000 1
Mg1 Mg 0.000 0.500 0.250 1
Mg2 Mg 0.119 0.349 0.500 1
Mg3 Mg 0.245 0.500 0.250 1
Cd1 Cd 0.139 0.151 0.500 1
```

# 3
This entry pairs a crystal structure of Tm7In2Ga2 with its calculated powder diffraction line list. Radiation: Cu Kα. Structure: a crystal structure in Alexandria, relaxed with PBE.
Intensities are scaled so that the largest is 100.

Principal peaks in the range 15 to 90 degrees two-theta, most intense first:
37.49 deg, d = 2.399 Å, intensity 100
27.84 deg, d = 3.204 Å, intensity 74
32.71 deg, d = 2.737 Å, intensity 67
28.32 deg, d = 3.152 Å, intensity 57
36.77 deg, d = 2.444 Å, intensity 44
25.68 deg, d = 3.469 Å, intensity 36
29.60 deg, d = 3.018 Å, intensity 31
50.43 deg, d = 1.810 Å, intensity 20
45.93 deg, d = 1.976 Å, intensity 19
61.42 deg, d = 1.510 Å, intensity 19
61.56 deg, d = 1.506 Å, intensity 19
57.52 deg, d = 1.602 Å, intensity 18

Structural model:
```
data_Tm7In2Ga2
_chemical_formula_sum 'Tm14 In4 Ga4'
_symmetry_space_group_name_H-M 'C m m m'
_symmetry_Int_Tables_number 65
_symmetry_space_group_name_Hall '-C 2 2'
_cell_length_a 7.904
_cell_length_b 10.950
_cell_length_c 7.239
_cell_angle_alpha 90.00
_cell_angle_beta 90.00
_cell_angle_gamma 90.00
loop_
_atom_site_label
_atom_site_type_symbol
_atom_site_fract_x
_atom_site_fract_y
_atom_site_fract_z
_atom_site_occupancy
Tm1 Tm 0.000 0.000 0.000 1
Tm2 Tm 0.000 0.500 0.248 1
Tm3 Tm 0.250 0.250 0.273 1
In1 In 0.179 0.000 0.500 1
Ga1 Ga 0.000 0.290 0.000 1
```

# 4
This entry pairs a crystal structure of MoW2S6 with its calculated powder diffraction line list. Radiation: Cu Kα. Structure: a crystal structure in Alexandria, relaxed with PBE.
Intensities are scaled so that the largest is 100.

Principal peaks in the range 15 to 90 degrees two-theta, most intense first:
38.75 deg, d = 2.324 Å, intensity 100
47.19 deg, d = 1.926 Å, intensity 70
36.58 deg, d = 2.457 Å, intensity 62
57.81 deg, d = 1.595 Å, intensity 59
34.81 deg, d = 2.578 Å, intensity 56
32.41 deg, d = 2.763 Å, intensity 56
33.49 deg, d = 2.676 Å, intensity 48
44.10 deg, d = 2.054 Å, intensity 47
59.36 deg, d = 1.557 Å, intensity 44
32.68 deg, d = 2.740 Å, intensity 35
80.67 deg, d = 1.191 Å, intensity 24
24.86 deg, d = 3.582 Å, intensity 23

Structural model:
```
data_MoW2S6
_chemical_formula_sum 'Mo1 W2 S6'
_symmetry_space_group_name_H-M 'P 3 m 1'
_symmetry_Int_Tables_number 156
_cell_length_a 3.1900
_cell_length_b 3.1900
_cell_length_c 21.4900
_cell_angle_alpha 90.00
_cell_angle_beta 90.00
_cell_angle_gamma 120.00
loop_
_symmetry_equiv_pos_as_xyz
'x,y,z'
'-y,x-y,z'
'-x+y,-x,z'
'-y,-x,z'
'-x+y,y,z'
'x,x-y,z'
loop_
_atom_site_label
_atom_site_type_symbol
_atom_site_fract_x
_atom_site_fract_y
_atom_site_fract_z
_atom_site_occupancy
Mo1 Mo 0.0000 0.0000 0.0000 1
W1 W 0.0000 0.0000 0.6561 1
W2 W 0.3333 0.6667 0.3263 1
S1 S 0.0000 0.0000 0.2531 1
S2 S 0.0000 0.0000 0.3994 1
S3 S 0.3333 0.6667 0.0728 1
S4 S 0.3333 0.6667 0.5829 1
S5 S 0.3333 0.6667 0.7293 1
S6 S 0.3333 0.6667 0.9272 1
```

# 5
This entry pairs a crystal structure of NaNdAu10 with its calculated powder diffraction line list. Radiation: Cu Kα. Structure: a crystal structure in Alexandria, relaxed with PBE.
Intensities are scaled so that the largest is 100.

Principal peaks in the range 15 to 90 degrees two-theta, most intense first:
37.38 deg, d = 2.406 Å, intensity 100
18.32 deg, d = 4.844 Å, intensity 89
42.02 deg, d = 2.150 Å, intensity 79
38.29 deg, d = 2.351 Å, intensity 59
37.50 deg, d = 2.398 Å, intensity 49
41.86 deg, d = 2.158 Å, intensity 39
79.71 deg, d = 1.203 Å, intensity 29
68.65 deg, d = 1.367 Å, intensity 26
37.18 deg, d = 2.418 Å, intensity 25
60.73 deg, d = 1.525 Å, intensity 24
66.81 deg, d = 1.400 Å, intensity 23
42.76 deg, d = 2.115 Å, intensity 23

Structural model:
```
data_NaNdAu10
_chemical_formula_sum 'Na1 Nd1 Au10'
_symmetry_space_group_name_H-M 'P m m m'
_symmetry_Int_Tables_number 47
_cell_length_a 4.702
_cell_length_b 5.576
_cell_length_c 9.715
_cell_angle_alpha 90.00
_cell_angle_beta 90.00
_cell_angle_gamma 90.00
loop_
_symmetry_equiv_pos_as_xyz
'x,y,z'
'-x,-y,-z'
'-x,-y,z'
'x,y,-z'
'x,-y,-z'
'-x,y,z'
'-x,y,-z'
'x,-y,z'
loop_
_atom_site_label
_atom_site_type_symbol
_atom_site_fract_x
_atom_site_fract_y
_atom_site_fract_z
_atom_site_occupancy
Na1 Na 0.000 0.000 0.000 1
Nd1 Nd 0.000 0.500 0.500 1
Au1 Au 0.000 0.000 0.330 1
Au2 Au 0.000 0.500 0.165 1
Au3 Au 0.500 0.000 0.500 1
Au4 Au 0.500 0.254 0.254 1
Au5 Au 0.500 0.500 0.000 1
```